Record 1
Starting from the PBE geometry in Alexandria, the powder diffractogram of Sn6IrPd3 was computed for a wavelength of 1.5418 Å.

Top 6 peaks for 2θ from 15° to 90°, by intensity:
| 2θ/deg | d [Å] | I/Imax | h k l |
| --- | --- | --- | --- |
| 42.69 | 2.118 | 100.0 | 1 3 -1 |
| 40.35 | 2.235 | 44.3 | 2 2 0 |
| 40.15 | 2.246 | 36.6 | 0 2 3 |
| 28.96 | 3.083 | 31.1 | 2 1 -1 |
| 33.64 | 2.664 | 30.7 | 1 0 -4 |
| 29.64 | 3.014 | 28.2 | 1 2 -1 |

Atomic structure:
```
data_Sn6IrPd3
_chemical_formula_sum 'Sn12 Ir2 Pd6'
_space_group_name_H-M_alt 'P 1 21/c 1'
_space_group_IT_number 14
_cell_length_a 7.1717
_cell_length_b 6.6568
_cell_length_c 10.8535
_cell_angle_alpha 90.00
_cell_angle_beta 122.73
_cell_angle_gamma 90.00
loop_
_space_group_symop_operation_xyz
'x,y,z'
'-x,-y,-z'
'-x,y+1/2,-z+1/2'
'x,-y+1/2,z+1/2'
loop_
_atom_site_label
_atom_site_fract_x
_atom_site_fract_y
_atom_site_fract_z
_atom_site_occupancy
Sn1 0.0755 0.0100 0.2661 1
Sn2 0.2503 0.1681 0.5965 1
Sn3 0.3946 0.6414 0.5659 1
Ir1 0.0000 0.0000 0.0000 1
Pd1 0.2924 0.6665 0.2615 1
Pd2 0.5000 0.0000 0.5000 1
```

---

Record 2
Starting from the PBE geometry in Alexandria, the powder diffractogram of Tb6Ir2Pd was computed for a wavelength of 1.5418 Å.

Top 6 peaks for 2θ from 15° to 90°, by intensity:
| 2θ/deg | d [Å] | I/Imax | h k l |
| --- | --- | --- | --- |
| 30.34 | 2.946 | 100.0 | 2 1 -1 |
| 30.84 | 2.899 | 87.1 | 1 0 -4 |
| 32.86 | 2.726 | 62.2 | 1 2 1 |
| 33.29 | 2.691 | 60.3 | 1 1 -4 |
| 36.64 | 2.452 | 55.9 | 0 2 3 |
| 29.19 | 3.060 | 55.1 | 1 2 0 |

Atomic structure:
```
data_Tb6Ir2Pd
_chemical_formula_sum 'Tb12 Ir4 Pd2'
_space_group_name_H-M_alt 'P 1 21/c 1'
_space_group_IT_number 14
_cell_length_a 6.6669
_cell_length_b 7.2360
_cell_length_c 11.6400
_cell_angle_alpha 90.00
_cell_angle_beta 120.68
_cell_angle_gamma 90.00
loop_
_space_group_symop_operation_xyz
'x,y,z'
'-x,-y,-z'
'-x,y+1/2,-z+1/2'
'x,-y+1/2,z+1/2'
loop_
_atom_site_label
_atom_site_fract_x
_atom_site_fract_y
_atom_site_fract_z
_atom_site_occupancy
Tb1 0.0879 0.0531 0.2576 1
Tb2 0.2664 0.6698 0.0839 1
Tb3 0.4093 0.1831 0.0689 1
Ir1 0.3204 0.1160 0.7726 1
Pd1 0.0000 0.0000 0.0000 1
```